Structure and computed powder diffraction line list of Sr3Ge5 (a structure optimized by DFT (PBE); Cu Kα).

Cell and atoms:
abc: 6.2810 18.9530 14.7607
angles: 90.00 90.00 90.00
Space group Fdd2 (No. 43)
Inequivalent atoms, fractional coordinates:
Sr 0.0000 0.0000 0.0000
Sr 0.0150 0.3301 0.9995
Ge 0.0000 0.0000 0.4323
Ge 0.0053 0.3354 0.4148
Ge 0.0212 0.3309 0.5853

Largest 8 diffraction maxima, sorted by position, 10° ≤ 2θ ≤ 80°:
2θ = 27.0°, d 3.302, I = 44; 2θ = 30.8°, d 2.904, I = 100; 2θ = 30.9°, d 2.890, I = 93; 2θ = 36.5°, d 2.461, I = 94; 2θ = 40.5°, d 2.227, I = 84; 2θ = 47.7°, d 1.906, I = 48; 2θ = 55.6°, d 1.654, I = 27; 2θ = 55.8°, d 1.649, I = 26